Computed XRD peak list
Compound: NpAlPbO6
Radiation: CuKα
Structure: a crystal structure in Alexandria, relaxed with GGA-PBE
No peak broadening, texture or thermal motion is included.

Peak list (8 most intense, 10° ≤ 2θ ≤ 90°, sorted by position)
- 21.0°, d 4.224, I 40
- 25.4°, d 3.502, I 100
- 31.5°, d 2.840, I 16
- 33.9°, d 2.648, I 37
- 42.8°, d 2.112, I 24
- 48.0°, d 1.895, I 40
- 54.6°, d 1.682, I 12
- 55.7°, d 1.651, I 24

Atomic structure:
```
NpAlPbO6
1.0
5.296 0.000 0.000
-2.648 4.586 0.000
0.000 0.000 10.849
Np Al Pb O
2 2 2 12
Cartesian
0.000 3.058 2.712
2.648 1.529 8.137
0.000 3.058 8.137
2.648 1.529 2.712
0.000 0.000 0.000
0.000 0.000 5.425
-0.938 1.749 7.060
-1.602 2.900 9.214
0.938 1.749 9.214
-0.665 4.524 7.060
1.983 0.062 1.635
1.046 1.686 3.789
1.602 2.900 7.060
0.665 4.524 9.214
3.313 0.062 3.789
1.710 2.838 1.635
4.250 1.686 1.635
3.586 2.838 3.789
```

---

Computed XRD peak list
Compound: Li2PuIr
Radiation: CuKα
Structure: a crystal structure in Alexandria, relaxed with GGA-PBE
No peak broadening, texture or thermal motion is included.

Peak list (8 most intense, 10° ≤ 2θ ≤ 90°, sorted by position)
- 17.4°, d 5.083, I 100
- 35.3°, d 2.542, I 19
- 39.8°, d 2.265, I 42
- 41.2°, d 2.193, I 36
- 46.2°, d 1.963, I 27
- 49.8°, d 1.831, I 23
- 58.5°, d 1.578, I 13
- 74.1°, d 1.280, I 13

Atomic structure:
```
Li2PuIr
1.0
2.644 0.000 0.000
-1.322 2.290 0.000
0.000 0.000 30.500
Li Pu Ir
6 3 3
Cartesian
0.000 0.000 2.927
0.000 0.000 27.572
0.000 1.527 17.406
0.000 1.527 23.260
1.322 0.763 7.239
1.322 0.763 13.094
0.000 0.000 0.000
0.000 1.527 20.333
1.322 0.763 10.167
0.000 0.000 15.250
0.000 1.527 5.083
1.322 0.763 25.416
```

---

Computed XRD peak list
Compound: ThH7Pd5
Radiation: CuKα
Structure: a crystal structure in Alexandria, relaxed with GGA-PBE
No peak broadening, texture or thermal motion is included.

Peak list (8 most intense, 10° ≤ 2θ ≤ 90°, sorted by position)
- 19.4°, d 4.578, I 12
- 34.6°, d 2.596, I 100
- 35.2°, d 2.549, I 36
- 35.4°, d 2.538, I 11
- 39.8°, d 2.265, I 53
- 41.3°, d 2.186, I 17
- 57.9°, d 1.592, I 10
- 58.2°, d 1.585, I 13

Atomic structure:
```
ThH7Pd5
1.0
2.731 -4.833 0.000
2.731 4.833 0.000
-1.644 0.000 5.098
Th H Pd
1 7 5
Cartesian
0.000 0.000 0.000
3.357 2.747 1.529
1.829 0.000 1.514
0.764 0.000 4.828
2.175 1.490 3.692
2.175 -1.490 3.692
4.592 0.000 2.482
3.357 -2.747 1.529
1.840 2.967 2.604
2.826 1.844 0.104
1.196 0.000 3.086
2.826 -1.844 0.104
1.840 -2.967 2.604
```

---

Computed XRD peak list
Compound: MgIn2I6
Radiation: CuKα
Structure: a crystal structure in Alexandria, relaxed with GGA-PBE
No peak broadening, texture or thermal motion is included.

Peak list (8 most intense, 10° ≤ 2θ ≤ 90°, sorted by position)
- 11.0°, d 8.053, I 54
- 15.3°, d 5.794, I 53
- 16.6°, d 5.340, I 48
- 20.7°, d 4.293, I 35
- 22.8°, d 3.895, I 63
- 24.0°, d 3.702, I 100
- 25.6°, d 3.474, I 36
- 26.7°, d 3.341, I 55

Atomic structure:
```
MgIn2I6
1.0
8.539 -8.053 0.000
8.539 8.053 0.000
-6.645 0.000 8.351
Mg In I
2 4 12
Cartesian
3.555 5.251 6.263
6.878 -5.251 2.088
2.586 1.124 3.783
-0.736 -1.124 7.958
11.169 1.124 0.392
7.846 -1.124 4.568
0.541 1.187 1.637
3.390 3.998 3.813
-2.782 -1.187 5.812
1.285 0.224 6.268
10.366 3.998 0.362
4.608 -0.224 2.092
5.825 0.224 6.258
0.067 -3.998 7.988
9.147 -0.224 2.083
13.214 1.187 2.538
7.043 -3.998 4.537
9.892 -1.187 6.713
```

---

Computed XRD peak list
Compound: Tm4CdPd12
Radiation: CuKα
Structure: a crystal structure in Alexandria, relaxed with GGA-PBE
No peak broadening, texture or thermal motion is included.

Peak list (8 most intense, 10° ≤ 2θ ≤ 90°, sorted by position)
- 29.7°, d 3.005, I 17
- 36.6°, d 2.454, I 100
- 39.7°, d 2.272, I 12
- 42.5°, d 2.125, I 61
- 50.4°, d 1.812, I 11
- 61.7°, d 1.503, I 34
- 74.0°, d 1.281, I 28
- 77.9°, d 1.227, I 10

Atomic structure:
```
Tm4CdPd12
1.0
-4.250 4.250 4.250
4.250 -4.250 4.250
4.250 4.250 -4.250
Tm Cd Pd
4 1 12
Cartesian
2.125 2.125 -2.125
2.125 -2.125 2.125
-2.125 2.125 2.125
2.125 2.125 2.125
0.000 0.000 0.000
2.560 0.000 0.000
5.940 0.000 0.000
4.250 2.125 0.000
4.250 0.000 2.125
0.000 2.560 0.000
0.000 0.000 2.560
2.125 4.250 0.000
2.125 0.000 4.250
0.000 5.940 0.000
0.000 0.000 5.940
0.000 4.250 2.125
0.000 2.125 4.250
```

---

Computed XRD peak list
Compound: KAcCdF6
Radiation: CuKα
Structure: a crystal structure in Alexandria, relaxed with GGA-PBE
No peak broadening, texture or thermal motion is included.

Peak list (8 most intense, 10° ≤ 2θ ≤ 90°, sorted by position)
- 15.8°, d 5.599, I 55
- 17.9°, d 4.950, I 70
- 24.0°, d 3.709, I 100
- 27.6°, d 3.233, I 79
- 33.1°, d 2.707, I 91
- 46.2°, d 1.965, I 71
- 46.7°, d 1.946, I 33
- 48.8°, d 1.866, I 40

Atomic structure:
```
KAcCdF6
1.0
6.466 0.000 0.000
-3.233 5.599 0.000
0.000 0.000 9.901
K Ac Cd F
2 2 2 12
Cartesian
0.000 0.000 0.000
0.000 0.000 4.950
0.000 3.733 2.475
3.233 1.866 7.426
0.000 3.733 7.426
3.233 1.866 2.475
-1.084 2.077 6.293
-1.976 3.622 8.558
1.084 2.077 8.558
-0.892 5.499 6.293
2.341 0.100 1.343
1.257 1.977 3.608
1.976 3.622 6.293
0.892 5.499 8.558
4.125 0.100 3.608
2.149 3.522 1.343
5.208 1.977 1.343
4.317 3.522 3.608
```

---

Computed XRD peak list
Compound: Ca4Ni
Radiation: CuKα
Structure: a crystal structure in Alexandria, relaxed with GGA-PBE
No peak broadening, texture or thermal motion is included.

Peak list (8 most intense, 10° ≤ 2θ ≤ 90°, sorted by position)
- 12.2°, d 7.231, I 74
- 13.7°, d 6.469, I 84
- 29.0°, d 3.079, I 59
- 31.0°, d 2.888, I 100
- 35.8°, d 2.507, I 54
- 37.5°, d 2.401, I 67
- 41.9°, d 2.156, I 39
- 57.4°, d 1.605, I 30

Atomic structure:
```
Ca4Ni
1.0
-3.616 7.231 3.211
3.616 -7.231 3.211
3.616 7.231 -3.211
Ca Ni
8 2
Cartesian
5.024 1.061 0.000
1.072 2.386 0.000
4.688 4.844 0.000
1.407 6.170 0.000
2.209 1.061 3.211
-1.072 2.386 3.211
2.544 4.844 3.211
-1.407 6.170 3.211
0.000 0.000 1.606
0.000 0.000 4.817
```

---

Computed XRD peak list
Compound: Tb2Dy3Y6Sc
Radiation: CuKα
Structure: a crystal structure in Alexandria, relaxed with GGA-PBE
No peak broadening, texture or thermal motion is included.

Peak list (8 most intense, 10° ≤ 2θ ≤ 90°, sorted by position)
- 31.0°, d 2.888, I 100
- 35.9°, d 2.501, I 50
- 51.7°, d 1.768, I 35
- 61.5°, d 1.509, I 14
- 61.5°, d 1.508, I 27
- 64.5°, d 1.444, I 12
- 84.4°, d 1.148, I 11
- 87.1°, d 1.118, I 13

Atomic structure:
```
Tb2Dy3Y6Sc
1.0
3.064 -5.302 0.000
3.064 5.302 0.000
-2.034 0.000 11.550
Tb Dy Y Sc
2 3 6 1
Cartesian
3.064 3.536 0.000
3.064 -3.536 0.000
-1.017 0.000 5.775
2.047 1.765 5.775
2.047 -1.765 5.775
0.017 1.754 8.687
1.035 0.000 2.867
0.017 -1.754 8.687
4.078 1.754 2.863
3.059 0.000 8.683
4.078 -1.754 2.863
3.064 0.000 0.000
```